Diffraction record for Sr2V2OF10. The PXRD pattern is calculated, not measured: it uses a crystal structure in Alexandria, relaxed with PBE+U and Cu Ka.

Atomic structure:
Cell lengths 7.9184, 20.1873, 10.8344 Å; angles 90.00, 90.00, 90.00 degrees
Space group Cmce (No. 64)
Symmetry-distinct sites (fractional):
Sr 0.0000 0.1158 0.0404 (multiplicity 8)
Sr 0.2500 0.2116 0.7500 (multiplicity 8)
V 0.0000 0.1730 0.4281 (multiplicity 8)
V 0.2500 0.0292 0.7500 (multiplicity 8)
O 0.0000 0.0950 0.4472 (multiplicity 8)
F 0.0000 0.0324 0.7044 (multiplicity 8)
F 0.0000 0.1781 0.2521 (multiplicity 8)
F 0.0000 0.2009 0.5981 (multiplicity 8)
F 0.0000 0.2179 0.8895 (multiplicity 8)
F 0.1922 0.0346 0.1287 (multiplicity 16)
F 0.2005 0.1040 0.8632 (multiplicity 16)
F 0.2343 0.1903 0.4184 (multiplicity 16)

Largest 10 diffraction maxima, in order of falling intensity, 2θ from 10° to 90°:
d/Å, intensity
3.196, 1000
3.693, 1000
2.090, 953
3.400, 650
3.489, 550
3.115, 548
3.414, 516
1.980, 448
2.118, 428
3.213, 294